Diffraction record for CePuNp2S4. The powder X-ray diffraction pattern is calculated, not measured: it uses a GGA-PBE-relaxed structure and Cu Ka.
No peak broadening, texture or thermal motion is included.

Principal peaks in the range 2θ = 10–80°, in order of rising 2θ:
d_spacing, intensity
3.221, 100.0
2.802, 33.7
2.784, 66.3
1.974, 61.5
1.688, 16.8
1.681, 16.7
1.678, 16.6
1.613, 13.0
1.609, 12.9
1.247, 16.8

Crystal structure
a = 6.8424 Å, b = 3.9444 Å, c = 6.8458 Å
α = 90.00°, β = 109.91°, γ = 90.00°
Fractional positions:
Ce (0.0000, 0.0000, 0.0000)
Pu (0.5000, 0.5000, 0.0000)
Np (0.0000, 0.5000, 0.5000)
Np (0.5000, 0.0000, 0.5000)
S (0.2503, 0.0000, 0.7463)
S (0.2562, 0.5000, 0.2566)
S (0.7438, 0.5000, 0.7434)
S (0.7497, 0.0000, 0.2537)

---

Diffraction record for LiZn2TcN4. The powder X-ray diffraction pattern is calculated, not measured: it uses a GGA-PBE-relaxed structure and Cu Ka.
No peak broadening, texture or thermal motion is included.

Principal peaks in the range 2θ = 10–80°, in order of rising 2θ:
d_spacing, intensity
4.279, 44.8
4.158, 57.6
2.852, 39.7
2.801, 26.3
2.669, 52.3
2.516, 100.0
2.480, 41.0
1.627, 33.7
1.510, 32.0
1.389, 24.6

Crystal structure
a = 6.6283 Å, b = 5.6023 Å, c = 5.3388 Å
α = 90.00°, β = 90.00°, γ = 90.00°
Fractional positions:
Li (0.0000, 0.1608, 0.0000)
Li (0.5000, 0.8392, 0.5000)
Zn (0.2470, 0.3288, 0.5077)
Zn (0.2530, 0.6712, 0.0077)
Zn (0.7470, 0.6712, 0.0077)
Zn (0.7530, 0.3288, 0.5077)
Tc (0.0000, 0.8246, 0.5060)
Tc (0.5000, 0.1754, 0.0060)
N (0.0000, 0.1369, 0.4019)
N (0.0000, 0.8097, 0.8470)
N (0.2257, 0.6737, 0.3879)
N (0.2743, 0.3263, 0.8879)
N (0.5000, 0.1903, 0.3470)
N (0.5000, 0.8631, 0.9019)
N (0.7257, 0.3263, 0.8879)
N (0.7743, 0.6737, 0.3879)

---

Diffraction record for Tb2Sm3Tm7. The powder X-ray diffraction pattern is calculated, not measured: it uses a GGA-PBE-relaxed structure and Cu Ka.
No peak broadening, texture or thermal motion is included.

Principal peaks in the range 2θ = 10–80°, in order of rising 2θ:
d_spacing, intensity
2.979, 28.9
2.877, 100.0
2.831, 59.0
2.627, 35.6
2.557, 42.0
2.349, 15.4
1.797, 19.9
1.750, 13.0
1.719, 22.6
1.495, 28.0

Crystal structure
a = 6.2837 Å, b = 3.4993 Å, c = 17.3539 Å
α = 90.00°, β = 96.27°, γ = 90.00°
Fractional positions:
Tb (0.0581, 0.0000, 0.1745)
Tb (0.9419, 0.0000, 0.8255)
Sm (0.4515, 0.5000, 0.8420)
Sm (0.5000, 0.0000, 0.5000)
Sm (0.5485, 0.5000, 0.1580)
Tm (0.0000, 0.5000, 0.5000)
Tm (0.2243, 0.0000, 0.6656)
Tm (0.2534, 0.0000, 0.9996)
Tm (0.2721, 0.5000, 0.3353)
Tm (0.7279, 0.5000, 0.6647)
Tm (0.7466, 0.0000, 0.0004)
Tm (0.7757, 0.0000, 0.3344)

---

Diffraction record for Rb6Ni3Br14. The powder X-ray diffraction pattern is calculated, not measured: it uses a GGA-PBE-relaxed structure and Cu Ka.
No peak broadening, texture or thermal motion is included.

Principal peaks in the range 2θ = 10–80°, in order of rising 2θ:
d_spacing, intensity
6.063, 53.4
5.904, 51.5
3.469, 96.5
3.380, 47.6
3.143, 100.0
2.913, 44.4
2.697, 78.7
2.654, 43.5
2.257, 43.9
1.521, 48.2

Crystal structure
a = 12.1266 Å, b = 12.1266 Å, c = 7.1392 Å
α = 90.00°, β = 90.00°, γ = 120.00°
Fractional positions:
Rb (0.0364, 0.4590, 0.0000)
Rb (0.2941, 0.2070, 0.5278)
Rb (0.4225, 0.9636, 0.0000)
Rb (0.5410, 0.5775, 0.0000)
Rb (0.7930, 0.0872, 0.5278)
Rb (0.9128, 0.7059, 0.5278)
Ni (0.0000, 0.0000, 0.0812)
Ni (0.3333, 0.6667, 0.5633)
Ni (0.6667, 0.3333, 0.7554)
Br (0.0000, 0.0000, 0.7493)
Br (0.0615, 0.2007, 0.2195)
Br (0.1392, 0.9385, 0.2195)
Br (0.2010, 0.7358, 0.7022)
Br (0.2642, 0.4652, 0.7022)
Br (0.3333, 0.6667, 0.2310)
Br (0.4754, 0.2684, 0.9534)
Br (0.5348, 0.7990, 0.7022)
Br (0.5394, 0.1427, 0.5584)
Br (0.6033, 0.4606, 0.5584)
Br (0.7316, 0.2070, 0.9534)
Br (0.7930, 0.5246, 0.9534)
Br (0.7993, 0.8608, 0.2195)
Br (0.8573, 0.3967, 0.5584)

---

Diffraction record for Tl3Pt2I9. The powder X-ray diffraction pattern is calculated, not measured: it uses a GGA-PBE-relaxed structure and Cu Ka.
No peak broadening, texture or thermal motion is included.

Principal peaks in the range 2θ = 10–80°, in order of rising 2θ:
d_spacing, intensity
8.436, 83.6
3.644, 19.4
3.621, 31.4
3.260, 27.2
2.972, 100.0
2.671, 16.9
2.586, 27.0
2.568, 25.7
2.100, 18.5
1.822, 32.6

Crystal structure
a = 11.4582 Å, b = 11.4582 Å, c = 11.4582 Å
α = 66.84°, β = 66.84°, γ = 66.84°
Fractional positions:
Tl (0.0880, 0.7500, 0.4120)
Tl (0.2500, 0.5880, 0.9120)
Tl (0.4120, 0.0880, 0.7500)
Tl (0.5880, 0.9120, 0.2500)
Tl (0.7500, 0.4120, 0.0880)
Tl (0.9120, 0.2500, 0.5880)
Pt (0.1834, 0.1834, 0.1834)
Pt (0.3166, 0.3166, 0.3166)
Pt (0.6834, 0.6834, 0.6834)
Pt (0.8166, 0.8166, 0.8166)
I (0.0632, 0.8581, 0.7011)
I (0.0805, 0.4195, 0.2500)
I (0.1419, 0.2989, 0.9368)
I (0.2011, 0.3581, 0.5632)
I (0.2500, 0.0805, 0.4195)
I (0.2989, 0.9368, 0.1419)
I (0.3581, 0.5632, 0.2011)
I (0.4195, 0.2500, 0.0805)
I (0.4368, 0.7989, 0.6419)
I (0.5632, 0.2011, 0.3581)
I (0.5805, 0.7500, 0.9195)
I (0.6419, 0.4368, 0.7989)
I (0.7011, 0.0632, 0.8581)
I (0.7500, 0.9195, 0.5805)
I (0.7989, 0.6419, 0.4368)
I (0.8581, 0.7011, 0.0632)
I (0.9195, 0.5805, 0.7500)
I (0.9368, 0.1419, 0.2989)

---

Diffraction record for V5MoW6. The powder X-ray diffraction pattern is calculated, not measured: it uses a GGA-PBE-relaxed structure and Cu Ka.
No peak broadening, texture or thermal motion is included.

Principal peaks in the range 2θ = 10–80°, in order of rising 2θ:
d_spacing, intensity
3.100, 40.5
2.193, 100.0
2.188, 19.9
1.792, 6.0
1.788, 6.0
1.550, 19.9
1.387, 8.1
1.386, 8.1
1.267, 20.2
1.264, 20.1

Crystal structure
a = 7.6005 Å, b = 7.6005 Å, c = 7.6005 Å
α = 146.53°, β = 131.86°, γ = 59.90°
Fractional positions:
V (0.0000, 0.0000, 0.0000)
V (0.1668, 0.6668, 0.5000)
V (0.3323, 0.3323, 0.0000)
V (0.6677, 0.6677, 0.0000)
V (0.8332, 0.3332, 0.5000)
Mo (0.5000, 0.0000, 0.5000)
W (0.0807, 0.8322, 0.2485)
W (0.2466, 0.5000, 0.7466)
W (0.4164, 0.1678, 0.2485)
W (0.5836, 0.8322, 0.7515)
W (0.7534, 0.5000, 0.2534)
W (0.9193, 0.1678, 0.7515)

---

Diffraction record for TbCeO4. The powder X-ray diffraction pattern is calculated, not measured: it uses a GGA-PBE-relaxed structure and Cu Ka.
No peak broadening, texture or thermal motion is included.

Principal peaks in the range 2θ = 10–80°, in order of rising 2θ:
d_spacing, intensity
3.154, 100.0
2.754, 10.3
2.720, 20.0
1.935, 36.2
1.923, 17.7
1.657, 15.3
1.642, 29.7
1.577, 8.7
1.255, 12.1
1.249, 6.0

Crystal structure
a = 3.8467 Å, b = 3.8467 Å, c = 5.5086 Å
α = 90.00°, β = 90.00°, γ = 90.00°
Fractional positions:
Tb (0.0000, 0.0000, 0.0000)
Ce (0.5000, 0.5000, 0.5000)
O (0.0000, 0.5000, 0.2535)
O (0.0000, 0.5000, 0.7465)
O (0.5000, 0.0000, 0.2535)
O (0.5000, 0.0000, 0.7465)

---

Diffraction record for ZnAuI4. The powder X-ray diffraction pattern is calculated, not measured: it uses a GGA-PBE-relaxed structure and Cu Ka.
No peak broadening, texture or thermal motion is included.

Principal peaks in the range 2θ = 10–80°, in order of rising 2θ:
d_spacing, intensity
5.548, 24.8
3.545, 100.0
3.318, 13.2
2.740, 16.8
2.228, 25.2
2.144, 45.5
1.886, 32.4
1.788, 14.1
1.394, 11.9
1.269, 15.6

Crystal structure
a = 6.3006 Å, b = 6.3006 Å, c = 11.7093 Å
α = 90.00°, β = 90.00°, γ = 90.00°
Fractional positions:
Zn (0.0000, 0.0000, 0.0000)
Zn (0.0000, 0.0000, 0.5000)
Au (0.0000, 0.5000, 0.2500)
Au (0.5000, 0.0000, 0.7500)
I (0.2366, 0.2611, 0.8771)
I (0.2366, 0.7389, 0.6229)
I (0.2611, 0.2366, 0.3771)
I (0.2611, 0.7634, 0.1229)
I (0.7389, 0.2366, 0.1229)
I (0.7389, 0.7634, 0.3771)
I (0.7634, 0.2611, 0.6229)
I (0.7634, 0.7389, 0.8771)

---

Diffraction record for GaSiHAuS. The powder X-ray diffraction pattern is calculated, not measured: it uses a GGA-PBE-relaxed structure and Cu Ka.
No peak broadening, texture or thermal motion is included.

Principal peaks in the range 2θ = 10–80°, in order of rising 2θ:
d_spacing, intensity
6.825, 100.0
3.973, 17.0
3.663, 18.5
3.413, 28.0
2.948, 25.4
2.524, 29.8
2.439, 41.4
2.302, 21.6
1.984, 15.3
1.867, 26.3

Crystal structure
a = 4.0121 Å, b = 3.2682 Å, c = 6.8923 Å
α = 90.00°, β = 98.01°, γ = 90.00°
Fractional positions:
Ga (0.0000, 0.0000, 0.0000)
Si (0.2062, 0.5000, 0.5354)
H (0.8302, 0.5000, 0.5134)
Au (0.4897, 0.5000, 0.8704)
S (0.3238, 0.0000, 0.3411)

---

Diffraction record for PuUPa2Sb4. The powder X-ray diffraction pattern is calculated, not measured: it uses a GGA-PBE-relaxed structure and Cu Ka.
No peak broadening, texture or thermal motion is included.

Principal peaks in the range 2θ = 10–80°, in order of rising 2θ:
d_spacing, intensity
3.576, 17.3
3.097, 100.0
2.190, 77.3
1.868, 9.6
1.788, 27.8
1.549, 13.1
1.386, 21.2
1.384, 15.1
1.265, 18.1
1.264, 9.0

Crystal structure
a = 7.5860 Å, b = 7.5860 Å, c = 6.1914 Å
α = 114.01°, β = 114.01°, γ = 48.17°
Fractional positions:
Pu (0.0000, 0.0000, 0.0000)
U (0.7500, 0.7500, 0.2502)
Pa (0.2500, 0.2500, 0.7500)
Pa (0.5000, 0.5000, 0.4998)
Sb (0.0004, 0.0004, 0.5004)
Sb (0.2512, 0.2512, 0.2512)
Sb (0.4996, 0.4996, 0.9994)
Sb (0.7488, 0.7488, 0.7490)

---

Diffraction record for FeC. The powder X-ray diffraction pattern is calculated, not measured: it uses a GGA-PBE-relaxed structure and Cu Ka.
No peak broadening, texture or thermal motion is included.

Principal peaks in the range 2θ = 10–80°, in order of rising 2θ:
d_spacing, intensity
4.123, 18.4
2.598, 56.5
2.381, 100.0
2.062, 16.3
1.755, 93.2
1.615, 21.5
1.558, 10.6
1.374, 16.1
1.336, 12.5
1.215, 12.6

Crystal structure
a = 4.7611 Å, b = 4.7611 Å, c = 2.5980 Å
α = 90.00°, β = 90.00°, γ = 120.00°
Fractional positions:
Fe (0.0000, 0.3850, 0.0000)
Fe (0.3850, 0.0000, 0.0000)
Fe (0.6150, 0.6150, 0.0000)
C (0.0000, 0.0000, 0.0000)
C (0.3333, 0.6667, 0.5000)
C (0.6667, 0.3333, 0.5000)

---

Diffraction record for CoIr2Os. The powder X-ray diffraction pattern is calculated, not measured: it uses a GGA-PBE-relaxed structure and Cu Ka.
No peak broadening, texture or thermal motion is included.

Principal peaks in the range 2θ = 10–80°, in order of rising 2θ:
d_spacing, intensity
5.352, 12.1
3.761, 8.0
3.077, 14.6
2.415, 7.7
2.197, 100.0
2.181, 96.4
1.903, 64.0
1.881, 31.3
1.353, 10.6
1.338, 50.1

Crystal structure
a = 2.7064 Å, b = 3.7613 Å, c = 5.3524 Å
α = 90.00°, β = 90.00°, γ = 90.00°
Fractional positions:
Co (0.0000, 0.0000, 0.0000)
Ir (0.0000, 0.0000, 0.5106)
Ir (0.5000, 0.5000, 0.2390)
Os (0.5000, 0.5000, 0.7600)

---

Repeat the seventh record exactly.
Diffraction record for TbCeO4. The powder X-ray diffraction pattern is calculated, not measured: it uses a GGA-PBE-relaxed structure and Cu Ka.
No peak broadening, texture or thermal motion is included.

Principal peaks in the range 2θ = 10–80°, in order of rising 2θ:
d_spacing, intensity
3.154, 100.0
2.754, 10.3
2.720, 20.0
1.935, 36.2
1.923, 17.7
1.657, 15.3
1.642, 29.7
1.577, 8.7
1.255, 12.1
1.249, 6.0

Crystal structure
a = 3.8467 Å, b = 3.8467 Å, c = 5.5086 Å
α = 90.00°, β = 90.00°, γ = 90.00°
Fractional positions:
Tb (0.0000, 0.0000, 0.0000)
Ce (0.5000, 0.5000, 0.5000)
O (0.0000, 0.5000, 0.2535)
O (0.0000, 0.5000, 0.7465)
O (0.5000, 0.0000, 0.2535)
O (0.5000, 0.0000, 0.7465)